1.
Computed powder diffraction line list of Sc2UTa for Cu Kα X-rays, from the PBE geometry in OQMD.
Kinematic intensities with the Lorentz-polarization factor, no thermal factor.

```
data_Sc2UTa
_symmetry_space_group_name_H-M 'P -6 m 2'
_symmetry_Int_Tables_number 187
_symmetry_space_group_name_Hall 'P -6 2'
_cell_length_a 3.0048
_cell_length_b 3.0048
_cell_length_c 10.4540
_cell_angle_alpha 90.00
_cell_angle_beta 90.00
_cell_angle_gamma 120.00
loop_
_atom_site_label
_atom_site_type_symbol
_atom_site_fract_x
_atom_site_fract_y
_atom_site_fract_z
Sc1 Sc 0.0000 0.0000 0.2299
U1 U 0.0000 0.0000 0.5000
Ta1 Ta 0.6667 0.3333 0.0000
```

Peak list (6 most intense, 2θ = 10–90°, in order of rising 2θ)
| 2θ (°) | I_rel | (hkl) |
| --- | --- | --- |
| 17.0 | 838 | 0 0 2 |
| 34.3 | 367 | 0 0 4 |
| 34.5 | 352 | 1 0 0 |
| 35.6 | 1000 | 1 0 1 |
| 43.4 | 720 | 1 0 3 |
| 72.6 | 294 | 1 1 4 |

2.
Computed powder diffraction line list of YErH2Cl4 for Cu Kα X-rays, from the PBE geometry in OQMD.
Kinematic intensities with the Lorentz-polarization factor, no thermal factor.

```
data_YErH2Cl4
_symmetry_space_group_name_H-M 'P -6 m 2'
_symmetry_Int_Tables_number 187
_symmetry_space_group_name_Hall 'P -6 2'
_cell_length_a 3.7209
_cell_length_b 3.7209
_cell_length_c 13.3574
_cell_angle_alpha 90.00
_cell_angle_beta 90.00
_cell_angle_gamma 120.00
loop_
_atom_site_label
_atom_site_type_symbol
_atom_site_fract_x
_atom_site_fract_y
_atom_site_fract_z
Y1 Y 0.0000 0.0000 0.0000
Er1 Er 0.0000 0.0000 0.5000
H1 H 0.3333 0.6667 0.0000
H2 H 0.6667 0.3333 0.5000
Cl1 Cl 0.3333 0.6667 0.3701
Cl2 Cl 0.6667 0.3333 0.1316
```

Peak list (6 most intense, 2θ = 10–90°, in order of rising 2θ)
| 2θ (°) | I_rel | (hkl) |
| --- | --- | --- |
| 13.3 | 1000 | 0 0 2 |
| 27.7 | 277 | 1 0 0 |
| 28.5 | 198 | 1 0 1 |
| 30.8 | 874 | 1 0 2 |
| 38.8 | 724 | 1 0 4 |
| 49.0 | 271 | 1 1 0 |

3.
Computed powder diffraction line list of Y3Tm2Lu2Ni2Te2 for Cu Kα X-rays, from the PBE geometry in OQMD.
Kinematic intensities with the Lorentz-polarization factor, no thermal factor.

```
data_Y3Tm2Lu2Ni2Te2
_symmetry_space_group_name_H-M 'I m m 2'
_symmetry_Int_Tables_number 44
_cell_length_a 3.846
_cell_length_b 15.452
_cell_length_c 9.443
_cell_angle_alpha 90.00
_cell_angle_beta 90.00
_cell_angle_gamma 90.00
loop_
_symmetry_equiv_pos_as_xyz
'x,y,z'
'-x,-y,z'
'-x,y,z'
'x,-y,z'
'x+1/2,y+1/2,z+1/2'
'-x+1/2,-y+1/2,z+1/2'
'-x+1/2,y+1/2,z+1/2'
'x+1/2,-y+1/2,z+1/2'
loop_
_atom_site_label
_atom_site_type_symbol
_atom_site_fract_x
_atom_site_fract_y
_atom_site_fract_z
Y1 Y 0.000 0.000 0.000
Y2 Y 0.000 0.352 0.266
Tm1 Tm 0.000 0.134 0.415
Lu1 Lu 0.000 0.315 0.620
Ni1 Ni 0.000 0.240 0.931
Te1 Te 0.000 0.000 0.659
Te2 Te 0.000 0.500 0.765
```

Peak list (6 most intense, 2θ = 10–90°, in order of rising 2θ)
| 2θ (°) | I_rel | (hkl) |
| --- | --- | --- |
| 25.0 | 354 | 1 0 1 |
| 30.5 | 605 | 0 5 1 |
| 33.4 | 787 | 0 3 3 |
| 34.2 | 927 | 1 4 1 |
| 34.8 | 1000 | 0 6 0 |
| 59.1 | 304 | 2 3 3 |

4.
Computed powder diffraction line list of Gd32O21 for Cu Kα X-rays, from the PBE geometry in OQMD.
Kinematic intensities with the Lorentz-polarization factor, no thermal factor.

```
data_Gd32O21
_symmetry_space_group_name_H-M 'R 3 m'
_symmetry_Int_Tables_number 160
_symmetry_space_group_name_Hall 'R 3 -2"'
_cell_length_a 15.0665
_cell_length_b 15.0665
_cell_length_c 18.3906
_cell_angle_alpha 90.00
_cell_angle_beta 90.00
_cell_angle_gamma 120.00
loop_
_atom_site_label
_atom_site_type_symbol
_atom_site_fract_x
_atom_site_fract_y
_atom_site_fract_z
Gd1 Gd 0.0000 0.0000 0.0000
Gd2 Gd 0.0000 0.0000 0.5048
Gd3 Gd 0.0000 0.5000 0.0074
Gd4 Gd 0.0036 0.2552 0.5092
Gd5 Gd 0.0840 0.1681 0.6708
Gd6 Gd 0.0870 0.4145 0.6768
Gd7 Gd 0.0883 0.1765 0.1752
Gd8 Gd 0.1576 0.0788 0.3401
Gd9 Gd 0.1669 0.0834 0.8422
Gd10 Gd 0.1695 0.3390 0.8383
O1 O 0.9999 0.2514 0.1332
O2 O 0.0015 0.2519 0.6334
O3 O 0.0840 0.1681 0.2969
O4 O 0.1693 0.3386 0.4672
O5 O 0.1696 0.0848 0.9655
```

Peak list (6 most intense, 2θ = 10–90°, in order of rising 2θ)
| 2θ (°) | I_rel | (hkl) |
| --- | --- | --- |
| 29.1 | 1000 | 0 0 6 |
| 33.7 | 435 | 4 0 4 |
| 48.3 | 205 | 4 4 0 |
| 48.4 | 204 | 0 4 8 |
| 57.4 | 323 | 4 4 6 |
| 57.5 | 108 | 4 0 10 |

5.
Computed powder diffraction line list of Zr2Ta4Sb3N3 for Cu Kα X-rays, from the PBE geometry in OQMD.
Kinematic intensities with the Lorentz-polarization factor, no thermal factor.

```
data_Zr2Ta4Sb3N3
_symmetry_space_group_name_H-M 'C 1 2/c 1'
_symmetry_Int_Tables_number 15
_cell_length_a 10.184
_cell_length_b 5.892
_cell_length_c 13.455
_cell_angle_alpha 90.00
_cell_angle_beta 104.62
_cell_angle_gamma 90.00
loop_
_symmetry_equiv_pos_as_xyz
'x,y,z'
'-x,-y,-z'
'-x,y,-z+1/2'
'x,-y,z+1/2'
'x+1/2,y+1/2,z'
'-x+1/2,-y+1/2,-z'
'-x+1/2,y+1/2,-z+1/2'
'x+1/2,-y+1/2,z+1/2'
loop_
_atom_site_label
_atom_site_type_symbol
_atom_site_fract_x
_atom_site_fract_y
_atom_site_fract_z
Zr1 Zr 0.053 0.084 0.406
Ta1 Ta 0.110 0.419 0.578
Ta2 Ta 0.222 0.415 0.922
Sb1 Sb 0.000 0.438 0.250
Sb2 Sb 0.178 0.094 0.750
N1 N 0.082 0.247 0.000
N2 N 0.250 0.250 0.500
```

Peak list (6 most intense, 2θ = 10–90°, in order of rising 2θ)
| 2θ (°) | I_rel | (hkl) |
| --- | --- | --- |
| 30.4 | 246 | 0 2 0 |
| 36.9 | 1000 | 3 1 2 |
| 41.6 | 146 | 0 0 6 |
| 52.4 | 131 | 0 2 6 |
| 54.0 | 232 | 6 0 -2 |
| 70.4 | 180 | 6 0 4 |

6.
Computed powder diffraction line list of PrPdF3 for Cu Kα X-rays, from the PBE geometry in OQMD.
Kinematic intensities with the Lorentz-polarization factor, no thermal factor.

```
data_PrPdF3
_symmetry_space_group_name_H-M 'C m c m'
_symmetry_Int_Tables_number 63
_symmetry_space_group_name_Hall '-C 2c 2'
_cell_length_a 4.155
_cell_length_b 12.759
_cell_length_c 5.043
_cell_angle_alpha 90.00
_cell_angle_beta 90.00
_cell_angle_gamma 90.00
loop_
_atom_site_label
_atom_site_type_symbol
_atom_site_fract_x
_atom_site_fract_y
_atom_site_fract_z
Pr1 Pr 0.000 0.151 0.250
Pd1 Pd 0.000 0.475 0.250
F1 F 0.000 0.084 0.750
F2 F 0.000 0.304 0.511
```

Peak list (6 most intense, 2θ = 10–90°, in order of rising 2θ)
| 2θ (°) | I_rel | (hkl) |
| --- | --- | --- |
| 28.7 | 809 | 1 1 1 |
| 30.1 | 994 | 1 3 0 |
| 33.2 | 561 | 0 4 1 |
| 35.6 | 428 | 0 0 2 |
| 43.6 | 428 | 2 0 0 |
| 47.3 | 1000 | 1 3 2 |